(1)
Structure and computed powder diffractogram of Pr7Bi2Rh2 (the GGA-PBE geometry in Alexandria; Cu Kα (weighted mean of Kα1 and Kα2)).
Kinematic intensities with the Lorentz-polarization factor, no thermal factor.

The 8 most intense peaks (2θ from 10° to 90°), in order of falling intensity:
- 2θ = 31.93°, rel. 100
- 2θ = 32.46°, rel. 61
- 2θ = 31.23°, rel. 58
- 2θ = 28.52°, rel. 36
- 2θ = 36.21°, rel. 32
- 2θ = 43.94°, rel. 28
- 2θ = 54.89°, rel. 24
- 2θ = 34.49°, rel. 17

a b c (Å): 9.892 9.892 9.892
angles (deg): 155.95 66.64 118.90
Fractional positions:
Pr  0.000  0.000  0.000
Pr  0.289  0.417  0.872
Pr  0.300  0.617  0.683
Pr  0.546  0.417  0.128
Pr  0.615  0.263  0.352
Pr  0.911  0.263  0.648
Pr  0.933  0.617  0.317
Bi  0.259  0.759  0.500
Bi  0.671  0.671  0.000
Rh  0.170  0.932  0.238
Rh  0.694  0.932  0.762

(2)
Structure and computed powder diffractogram of Pr2Bi3Rh5 (the GGA-PBE geometry in Alexandria; Cu Kα (weighted mean of Kα1 and Kα2)).
Kinematic intensities with the Lorentz-polarization factor, no thermal factor.

The 8 most intense peaks (2θ from 10° to 90°), in order of falling intensity:
- 2θ = 32.62°, rel. 100
- 2θ = 42.37°, rel. 99
- 2θ = 40.09°, rel. 98
- 2θ = 31.52°, rel. 73
- 2θ = 33.69°, rel. 64
- 2θ = 37.35°, rel. 58
- 2θ = 35.58°, rel. 53
- 2θ = 23.89°, rel. 46

a b c (Å): 13.024 13.024 7.579
angles (deg): 90.00 90.00 160.11
Fractional positions:
Pr  0.009  0.991  0.500
Pr  0.316  0.684  0.428
Pr  0.684  0.316  0.928
Pr  0.991  0.009  0.000
Bi  0.109  0.891  0.741
Bi  0.287  0.713  0.868
Bi  0.439  0.561  0.732
Bi  0.561  0.439  0.232
Bi  0.713  0.287  0.368
Bi  0.891  0.109  0.241
Rh  0.108  0.892  0.102
Rh  0.205  0.795  0.586
Rh  0.224  0.776  0.167
Rh  0.379  0.621  0.041
Rh  0.447  0.553  0.358
Rh  0.553  0.447  0.858
Rh  0.621  0.379  0.541
Rh  0.776  0.224  0.667
Rh  0.795  0.205  0.086
Rh  0.892  0.108  0.602

(3)
Structure and computed powder diffractogram of Pr5Bi2Rh (the GGA-PBE geometry in Alexandria; Cu Kα (weighted mean of Kα1 and Kα2)).
Kinematic intensities with the Lorentz-polarization factor, no thermal factor.

The 8 most intense peaks (2θ from 10° to 90°), in order of falling intensity:
- 2θ = 34.32°, rel. 100
- 2θ = 29.35°, rel. 85
- 2θ = 30.66°, rel. 64
- 2θ = 31.86°, rel. 59
- 2θ = 27.69°, rel. 44
- 2θ = 40.79°, rel. 34
- 2θ = 41.68°, rel. 29
- 2θ = 17.44°, rel. 24

a b c (Å): 5.926 5.926 16.655
angles (deg): 90.00 90.00 118.20
Fractional positions:
Pr  0.077  0.923  0.610
Pr  0.077  0.923  0.890
Pr  0.254  0.746  0.250
Pr  0.415  0.585  0.622
Pr  0.415  0.585  0.878
Pr  0.585  0.415  0.122
Pr  0.585  0.415  0.378
Pr  0.746  0.254  0.750
Pr  0.923  0.077  0.110
Pr  0.923  0.077  0.390
Bi  0.257  0.743  0.058
Bi  0.257  0.743  0.442
Bi  0.743  0.257  0.558
Bi  0.743  0.257  0.942
Rh  0.230  0.770  0.750
Rh  0.770  0.230  0.250

(4)
Structure and computed powder diffractogram of Pr6Bi3Ru (the GGA-PBE geometry in Alexandria; Cu Kα (weighted mean of Kα1 and Kα2)).
Kinematic intensities with the Lorentz-polarization factor, no thermal factor.

The 8 most intense peaks (2θ from 10° to 90°), in order of falling intensity:
- 2θ = 33.29°, rel. 100
- 2θ = 28.95°, rel. 82
- 2θ = 29.64°, rel. 78
- 2θ = 28.71°, rel. 59
- 2θ = 31.02°, rel. 54
- 2θ = 31.33°, rel. 53
- 2θ = 28.79°, rel. 46
- 2θ = 37.48°, rel. 43

a b c (Å): 6.664 8.826 13.166
angles (deg): 90.00 119.83 90.00
Fractional positions:
Pr  0.056  0.198  0.442
Pr  0.056  0.302  0.942
Pr  0.299  0.656  0.435
Pr  0.299  0.844  0.935
Pr  0.363  0.037  0.230
Pr  0.363  0.463  0.730
Pr  0.637  0.537  0.270
Pr  0.637  0.963  0.770
Pr  0.701  0.156  0.065
Pr  0.701  0.344  0.565
Pr  0.944  0.698  0.058
Pr  0.944  0.802  0.558
Bi  0.154  0.118  0.740
Bi  0.154  0.382  0.240
Bi  0.500  0.000  0.500
Bi  0.500  0.500  0.000
Bi  0.846  0.618  0.760
Bi  0.846  0.882  0.260
Ru  0.000  0.000  0.000
Ru  0.000  0.500  0.500

(5)
Structure and computed powder diffractogram of Pr3Bi2S (the GGA-PBE geometry in Alexandria; Cu Kα (weighted mean of Kα1 and Kα2)).
Kinematic intensities with the Lorentz-polarization factor, no thermal factor.

The 8 most intense peaks (2θ from 10° to 90°), in order of falling intensity:
- 2θ = 28.04°, rel. 100
- 2θ = 40.27°, rel. 70
- 2θ = 28.31°, rel. 45
- 2θ = 40.07°, rel. 39
- 2θ = 49.79°, rel. 38
- 2θ = 72.94°, rel. 25
- 2θ = 30.88°, rel. 21
- 2θ = 65.60°, rel. 18

a b c (Å): 4.500 4.500 18.912
angles (deg): 90.00 90.00 90.00
Fractional positions:
Pr  0.000  0.000  0.000
Pr  0.000  0.000  0.346
Pr  0.000  0.000  0.654
Pr  0.500  0.500  0.154
Pr  0.500  0.500  0.500
Pr  0.500  0.500  0.846
Bi  0.000  0.000  0.170
Bi  0.000  0.000  0.830
Bi  0.500  0.500  0.330
Bi  0.500  0.500  0.670
S  0.000  0.000  0.500
S  0.500  0.500  0.000

(6)
Structure and computed powder diffractogram of Pr7BiS5 (the GGA-PBE geometry in Alexandria; Cu Kα (weighted mean of Kα1 and Kα2)).
Kinematic intensities with the Lorentz-polarization factor, no thermal factor.

The 8 most intense peaks (2θ from 10° to 90°), in order of falling intensity:
- 2θ = 30.02°, rel. 100
- 2θ = 28.51°, rel. 89
- 2θ = 31.12°, rel. 63
- 2θ = 28.65°, rel. 55
- 2θ = 26.49°, rel. 38
- 2θ = 52.48°, rel. 37
- 2θ = 43.10°, rel. 33
- 2θ = 43.92°, rel. 24

a b c (Å): 7.054 7.054 24.758
angles (deg): 90.00 90.00 145.38
Fractional positions:
Pr  0.018  0.982  0.750
Pr  0.136  0.864  0.037
Pr  0.136  0.864  0.463
Pr  0.323  0.677  0.671
Pr  0.323  0.677  0.829
Pr  0.409  0.591  0.110
Pr  0.409  0.591  0.390
Pr  0.591  0.409  0.610
Pr  0.591  0.409  0.890
Pr  0.677  0.323  0.171
Pr  0.677  0.323  0.329
Pr  0.864  0.136  0.537
Pr  0.864  0.136  0.963
Pr  0.982  0.018  0.250
Bi  0.300  0.700  0.250
Bi  0.700  0.300  0.750
S  0.044  0.956  0.141
S  0.044  0.956  0.359
S  0.226  0.774  0.569
S  0.226  0.774  0.931
S  0.500  0.500  0.000
S  0.500  0.500  0.500
S  0.774  0.226  0.069
S  0.774  0.226  0.431
S  0.956  0.044  0.641
S  0.956  0.044  0.859